This entry pairs a crystal structure of Ga2Hg5Se8 with its computed XRD peak list. Radiation: Cu Kα (weighted mean of Kα1 and Kα2). Structure: a structure optimized by DFT (GGA-PBE).
Peak positions follow from Bragg's law for the DFT cell and can differ from measured ones.

Peak list (8 most intense, 15° ≤ 2θ ≤ 90°, in order of rising 2θ)
25.72°, I 100, (2 0 2); 38.66°, I 9, (3 2 1); 42.20°, I 23, (4 0 0); 42.85°, I 43, (2 2 4); 50.08°, I 28, (4 2 2); 51.22°, I 14, (2 0 6); 68.46°, I 10, (4 2 6); 77.59°, I 11, (6 2 4)

Cell lengths 8.5668, 8.5668, 11.7701 Å; angles 90.00, 90.00, 90.00 degrees
Space group I-4m2 (No. 119)
Inequivalent atoms, fractional coordinates:
Ga1 0.0000 0.0000 0.2469 [4 per cell]
Hg1 0.0000 0.5000 0.2500 [2 per cell]
Hg2 0.2276 0.2276 0.0000 [8 per cell]
Se1 0.0000 0.2340 0.3742 [8 per cell]
Se2 0.0000 0.2541 0.8480 [8 per cell]